# 1
This entry pairs a crystal structure of ZnSnO3 with its theoretical X-ray powder pattern. Radiation: Cu Kα. Structure: a cell relaxed with GGA-PBE.
Peak positions follow from Bragg's law for the DFT cell and can differ from measured ones.

Atomic structure:
a = 5.659 Å, b = 5.659 Å, c = 5.659 Å
α = 56.41°, β = 56.41°, γ = 56.41°
Element x y z (fractional)
Zn: 0.000 0.000 0.000
Zn: 0.500 0.500 0.500
Sn: 0.282 0.282 0.282
Sn: 0.782 0.782 0.782
O: 0.072 0.391 0.677
O: 0.177 0.891 0.572
O: 0.391 0.677 0.072
O: 0.572 0.177 0.891
O: 0.677 0.072 0.391
O: 0.891 0.572 0.177

Main lines, in order of falling intensity (10 to 90 degrees two-theta):
31.72°, I = 100; 33.51°, I = 83; 46.81°, I = 41; 58.78°, I = 38; 22.91°, I = 35; 51.51°, I = 33; 59.90°, I = 29; 79.29°, I = 14; 55.34°, I = 14; 69.06°, I = 11; 70.41°, I = 11; 88.57°, I = 11

# 2
This entry pairs a crystal structure of ZnSnO2 with its theoretical X-ray powder pattern. Radiation: Cu Kα. Structure: a cell relaxed with GGA-PBE.
Peak positions follow from Bragg's law for the DFT cell and can differ from measured ones.

Atomic structure:
a = 3.443 Å, b = 8.297 Å, c = 9.282 Å
α = 89.26°, β = 79.39°, γ = 78.59°
Element x y z (fractional)
Zn: 0.104 0.222 0.088
Zn: 0.391 0.025 0.695
Zn: 0.609 0.975 0.305
Zn: 0.896 0.778 0.912
Sn: 0.120 0.697 0.556
Sn: 0.342 0.631 0.169
Sn: 0.658 0.369 0.831
Sn: 0.880 0.303 0.444
O: 0.064 0.103 0.273
O: 0.228 0.195 0.865
O: 0.401 0.176 0.525
O: 0.445 0.649 0.934
O: 0.555 0.351 0.066
O: 0.599 0.824 0.475
O: 0.772 0.805 0.135
O: 0.936 0.897 0.727

Main lines, in order of falling intensity (10 to 90 degrees two-theta):
31.23°, I = 100; 30.97°, I = 98; 29.80°, I = 92; 31.15°, I = 82; 36.47°, I = 52; 36.32°, I = 51; 51.62°, I = 40; 53.21°, I = 33; 22.12°, I = 31; 21.86°, I = 30; 33.05°, I = 26; 34.29°, I = 25

# 3
This entry pairs a crystal structure of Zr6Sn2O with its theoretical X-ray powder pattern. Radiation: Cu Kα. Structure: a cell relaxed with GGA-PBE.
Peak positions follow from Bragg's law for the DFT cell and can differ from measured ones.

Atomic structure:
a = 6.183 Å, b = 6.183 Å, c = 9.584 Å
α = 90.00°, β = 90.00°, γ = 90.00°
Element x y z (fractional)
Zr: 0.000 0.000 0.250
Zr: 0.000 0.000 0.750
Zr: 0.213 0.273 0.000
Zr: 0.227 0.287 0.500
Zr: 0.273 0.787 0.000
Zr: 0.287 0.773 0.500
Zr: 0.500 0.500 0.250
Zr: 0.500 0.500 0.750
Zr: 0.713 0.227 0.500
Zr: 0.727 0.213 0.000
Zr: 0.773 0.713 0.500
Zr: 0.787 0.727 0.000
Sn: 0.000 0.500 0.250
Sn: 0.000 0.500 0.750
Sn: 0.500 0.000 0.250
Sn: 0.500 0.000 0.750
O: 0.000 0.000 0.500
O: 0.500 0.500 0.000

Main lines, in order of falling intensity (10 to 90 degrees two-theta):
34.53°, I = 100; 41.30°, I = 31; 37.54°, I = 28; 57.03°, I = 25; 70.95°, I = 19; 65.81°, I = 15; 72.81°, I = 10; 59.83°, I = 9; 80.13°, I = 5; 89.70°, I = 4; 32.38°, I = 4; 50.40°, I = 4